# 1
Simulated powder diffractogram
Compound: ZnSbTe2As
Radiation: Cu Kα (λ = 1.5418 Å)
Structure: a GGA-PBE-relaxed structure
No peak broadening, texture or thermal motion is included.

Top 6 peaks for 15° ≤ 2θ ≤ 90°, low angle first:
2θ/deg  intensity  index
29.6  1000  1 1 1
34.2  651  2 0 0
34.6  316  0 0 2
49.5  453  2 0 2
58.5  288  3 1 1
61.5  232  2 2 2

Cell lengths 5.2392, 5.2392, 5.1853 Å; angles 90.00, 90.00, 90.00 degrees
Space group P4/mmm (No. 123)
Unique sites:
Zn1 0.0000 0.0000 0.0000 (multiplicity 1)
Sb1 0.0000 0.0000 0.5000 (multiplicity 1)
Te1 0.0000 0.5000 0.0000 (multiplicity 2)
As1 0.5000 0.5000 0.5000 (multiplicity 1)


# 2
Simulated powder diffractogram
Compound: Ti6SbAs3
Radiation: Cu Kα (λ = 1.5418 Å)
Structure: a GGA-PBE-relaxed structure
No peak broadening, texture or thermal motion is included.

Top 6 peaks for 15° ≤ 2θ ≤ 90°, low angle first:
2θ/deg  intensity  index
27.4  439  1 3 1
28.1  1000  2 2 1
33.7  398  3 1 1
36.8  929  2 2 2
40.1  434  4 0 0
47.8  417  3 5 0

Cell lengths 8.9817, 12.3196, 6.5916 Å; angles 90.00, 90.00, 90.00 degrees
Space group Cmc2_1 (No. 36)
Unique sites:
Ti1 0.0000 0.0050 0.0000 (multiplicity 4)
Ti2 0.0000 0.2502 0.1617 (multiplicity 4)
Ti3 0.1726 0.4498 0.0920 (multiplicity 8)
Ti4 0.2157 0.2771 0.4706 (multiplicity 8)
Sb1 0.0000 0.1919 0.7543 (multiplicity 4)
As1 0.0000 0.4183 0.4010 (multiplicity 4)
As2 0.1891 0.1005 0.2652 (multiplicity 8)


# 3
Simulated powder diffractogram
Compound: Ti2Sb2As
Radiation: Cu Kα (λ = 1.5418 Å)
Structure: a GGA-PBE-relaxed structure
No peak broadening, texture or thermal motion is included.

Top 6 peaks for 15° ≤ 2θ ≤ 90°, low angle first:
2θ/deg  intensity  index
28.9  608  2 0 2
29.2  522  0 1 3
32.7  1000  0 2 0
34.2  849  2 0 3
44.2  372  2 2 2
48.1  629  2 2 3

Cell lengths 7.4430, 5.4729, 11.0742 Å; angles 90.00, 90.00, 90.00 degrees
Space group Pnma (No. 62)
Unique sites:
Ti1 0.0668 0.2500 0.2428 (multiplicity 4)
Ti2 0.1290 0.2500 0.9298 (multiplicity 4)
Sb1 0.0653 0.7500 0.2817 (multiplicity 4)
Sb2 0.1972 0.7500 0.9473 (multiplicity 4)
As1 0.1533 0.7500 0.5966 (multiplicity 4)


# 4
Simulated powder diffractogram
Compound: Ti7Sb2As2
Radiation: Cu Kα (λ = 1.5418 Å)
Structure: a GGA-PBE-relaxed structure
No peak broadening, texture or thermal motion is included.

Top 6 peaks for 15° ≤ 2θ ≤ 90°, low angle first:
2θ/deg  intensity  index
24.6  829  0 2 1
26.8  878  2 0 1
38.5  565  0 4 0
43.2  1000  2 2 2
47.0  315  3 3 1
47.5  309  2 4 1

Cell lengths 8.2129, 9.3437, 5.6961 Å; angles 90.00, 90.00, 90.00 degrees
Space group Cmmm (No. 65)
Unique sites:
Ti1 0.0000 0.0000 0.0000 (multiplicity 2)
Ti2 0.0000 0.5000 0.2569 (multiplicity 4)
Ti3 0.2500 0.2500 0.2546 (multiplicity 8)
Sb1 0.1936 0.0000 0.5000 (multiplicity 4)
As1 0.0000 0.2731 0.0000 (multiplicity 4)